(1)
Computed XRD peak list
Compound: TbMgTl
Radiation: copper Kα
Structure: DFT lattice parameters and positions (PBE)
Neutral-atom scattering factors, no anomalous dispersion.

```
9
Lattice="7.6043 0.0000 0.0000 -3.8021 6.5855 0.0000 0.0000 0.0000 4.6889" Properties=species:S:1:pos:R:3 pbc="T T T"
Tb -2.1709 3.7601 0.0000
Tb 1.6312 2.8254 0.0000
Tb 4.3418 0.0000 0.0000
Mg -0.9281 1.6075 2.3444
Mg 1.8562 0.0000 2.3444
Mg 2.8740 4.9780 2.3444
Tl 0.0000 0.0000 0.0000
Tl 0.0000 4.3903 2.3444
Tl 3.8021 2.1952 2.3444
```

Largest 12 diffraction maxima, by intensity, 10 to 90 degrees two-theta:
33.25°, d 2.695, intensity 100; 41.08°, d 2.197, intensity 50; 30.26°, d 2.953, intensity 47; 23.40°, d 3.802, intensity 38; 64.85°, d 1.438, intensity 26; 38.40°, d 2.344, intensity 25; 23.29°, d 3.820, intensity 24; 57.52°, d 1.602, intensity 17; 47.85°, d 1.901, intensity 17; 27.08°, d 3.293, intensity 15; 62.94°, d 1.477, intensity 15; 53.87°, d 1.702, intensity 14

---

(2)
Computed XRD peak list
Compound: TbMgZn2
Radiation: copper Kα
Structure: DFT lattice parameters and positions (PBE)
Neutral-atom scattering factors, no anomalous dispersion.

```
4
Lattice="0.0000 3.4118 3.4118 3.4118 0.0000 3.4118 3.4118 3.4118 0.0000" Properties=species:S:1:pos:R:3 pbc="T T T"
Tb 0.0000 0.0000 0.0000
Mg 3.4118 3.4118 3.4118
Zn 1.7059 1.7059 1.7059
Zn 5.1178 5.1178 5.1178
```

Largest 12 diffraction maxima, by intensity, 10 to 90 degrees two-theta:
37.27°, d 2.413, intensity 100; 22.57°, d 3.940, intensity 39; 67.21°, d 1.393, intensity 34; 44.01°, d 2.057, intensity 21; 53.73°, d 1.706, intensity 17; 79.45°, d 1.206, intensity 10; 59.00°, d 1.565, intensity 9; 83.88°, d 1.153, intensity 7; 71.90°, d 1.313, intensity 7; 26.12°, d 3.412, intensity 2; 60.70°, d 1.526, intensity 1; 46.08°, d 1.970, intensity 1

---

(3)
Computed XRD peak list
Compound: Mg3Tc
Radiation: copper Kα
Structure: DFT lattice parameters and positions (PBE)
Neutral-atom scattering factors, no anomalous dispersion.

```
4
Lattice="-2.0449 2.0449 4.2516 2.0449 -2.0449 4.2516 2.0449 2.0449 -4.2516" Properties=species:S:1:pos:R:3 pbc="T T T"
Mg 0.0000 0.0000 0.0000
Mg 2.0449 0.0000 2.1258
Mg 0.0000 2.0449 2.1258
Tc 0.0000 0.0000 4.2516
```

Largest 12 diffraction maxima, by intensity, 10 to 90 degrees two-theta:
37.62°, d 2.391, intensity 100; 24.15°, d 3.686, intensity 57; 44.30°, d 2.045, intensity 31; 77.08°, d 1.237, intensity 23; 63.08°, d 1.474, intensity 21; 20.89°, d 4.252, intensity 20; 42.53°, d 2.126, intensity 18; 38.65°, d 2.330, intensity 16; 30.92°, d 2.892, intensity 15; 51.08°, d 1.788, intensity 15; 74.57°, d 1.273, intensity 12; 80.30°, d 1.196, intensity 10